Entry 1:
Simulated X-ray powder pattern of SrAlBrF4 for Cu Kα, 1.54184 Å, from the PBE geometry in Alexandria.

Crystal structure
Unit cell a=10.7395 b=7.6231 c=7.3922 alpha=90.00 beta=106.27 gamma=90.00
Space group C2/m (No. 12)
Asymmetric unit:
Sr 0.2203 0.0000 0.1464 x4
Al 0.1279 0.5000 0.2602 x4
Br 0.0325 0.0000 0.7548 x4
F 0.0371 0.5000 0.7976 x4
F 0.1790 0.3231 0.1564 x8
F 0.1890 0.5000 0.4981 x4

Top 10 peaks for 2θ from 10° to 80°, in order of rising 2θ:
hkl  Position (°2θ)  Rel. int.
0 0 1  12.47  36
1 1 0  14.45  22
0 2 0  23.34  100
0 0 2  25.10  38
3 1 -1  28.04  61
1 1 2  31.16  34
3 1 -2  32.95  22
2 0 2  34.51  34
3 3 -1  44.03  28
1 3 2  46.20  23

---

Entry 2:
Simulated X-ray powder pattern of BaSrAg for Cu Kα, 1.54184 Å, from the PBE geometry in Alexandria.

Crystal structure
Unit cell a=8.0057 b=14.9102 c=8.6516 alpha=90.00 beta=90.00 gamma=90.00
Space group Pbca (No. 61)
Asymmetric unit:
Ba 0.1949 0.1971 0.1052 x8
Sr 0.0047 0.5413 0.7694 x8
Ag 0.2231 0.5899 0.4562 x8

Top 10 peaks for 2θ from 10° to 80°, in order of rising 2θ:
hkl  Position (°2θ)  Rel. int.
2 0 0  22.21  21
2 2 0  25.25  27
0 4 1  26.03  33
1 2 2  26.29  55
2 2 1  27.31  41
1 4 1  28.35  100
2 0 2  30.43  58
2 2 2  32.78  27
0 2 3  33.31  38
0 2 4  43.54  27